Entry 1:
Computed powder XRD pattern
Compound: Hf4IrS
Radiation: copper Kα
Structure: DFT lattice parameters and positions (GGA-PBE)
Intensities are scaled so that the largest is 100.

Atomic structure:
```
Hf4IrS
1.0
5.716 0.000 0.000
-0.003 6.368 0.000
-1.507 -3.178 6.620
Hf Ir S
8 2 2
direct
0.063 0.240 0.159
0.095 0.796 0.342
0.404 0.454 0.658
0.437 0.081 0.841
0.563 0.919 0.159
0.596 0.546 0.342
0.905 0.204 0.658
0.937 0.760 0.841
0.250 0.507 0.000
0.750 0.493 0.000
0.000 0.500 0.500
0.500 0.000 0.500
```

Largest 10 diffraction maxima, by intensity, 2θ = 10–90°:
d/Å	2theta	intensity
2.433	36.95	100
2.657	33.73	98
2.445	36.76	71
2.814	31.80	68
2.415	37.23	67
2.457	36.58	64
2.386	37.71	57
5.739	15.44	50
2.765	32.38	47
2.096	43.15	47

Entry 2:
Computed powder XRD pattern
Compound: LaSe2O5
Radiation: copper Kα
Structure: DFT lattice parameters and positions (GGA-PBE)
Intensities are scaled so that the largest is 100.

Atomic structure:
```
LaSe2O5
1.0
7.114 0.000 0.000
0.000 11.199 0.000
0.000 0.000 7.592
La Se O
4 8 20
direct
0.000 0.064 0.250
0.000 0.936 0.750
0.500 0.436 0.750
0.500 0.564 0.250
0.111 0.360 0.037
0.111 0.640 0.537
0.389 0.140 0.537
0.389 0.860 0.037
0.611 0.140 0.963
0.611 0.860 0.463
0.889 0.360 0.463
0.889 0.640 0.963
0.000 0.428 0.250
0.000 0.572 0.750
0.169 0.066 0.534
0.169 0.934 0.034
0.170 0.225 0.127
0.170 0.775 0.627
0.330 0.275 0.627
0.330 0.725 0.127
0.331 0.434 0.034
0.331 0.566 0.534
0.500 0.072 0.750
0.500 0.928 0.250
0.669 0.434 0.466
0.669 0.566 0.966
0.670 0.275 0.873
0.670 0.725 0.373
0.830 0.225 0.373
0.830 0.775 0.873
0.831 0.066 0.966
0.831 0.934 0.466
```

Largest 10 diffraction maxima, by intensity, 2θ = 10–90°:
d/Å	2theta	intensity
3.209	27.80	100
4.710	18.84	84
3.807	23.37	75
3.031	29.47	65
3.096	28.84	53
3.305	26.97	44
1.935	46.95	30
2.306	39.06	27
2.795	32.02	26
3.557	25.03	25

Entry 3:
Computed powder XRD pattern
Compound: Tb2Nd5SmY
Radiation: copper Kα
Structure: DFT lattice parameters and positions (GGA-PBE)
Intensities are scaled so that the largest is 100.

Atomic structure:
```
Tb2Nd5SmY
1.0
2.847 -10.287 0.000
2.847 10.287 0.000
0.000 0.000 10.724
Tb Nd Sm Y
4 10 2 2
direct
0.112 0.888 0.500
0.116 0.884 0.078
0.884 0.116 0.578
0.888 0.112 0.000
0.015 0.985 0.783
0.279 0.721 0.074
0.297 0.703 0.469
0.389 0.611 0.788
0.481 0.519 0.507
0.519 0.481 0.007
0.611 0.389 0.288
0.703 0.297 0.969
0.721 0.279 0.574
0.985 0.015 0.283
0.201 0.799 0.774
0.799 0.201 0.274
0.408 0.592 0.223
0.592 0.408 0.723
```

Largest 10 diffraction maxima, by intensity, 2θ = 10–90°:
d/Å	2theta	intensity
2.832	31.59	100
2.995	29.83	38
2.847	31.42	38
1.641	56.05	20
3.266	27.31	17
2.681	33.42	13
1.532	60.40	13
1.591	57.96	12
1.818	50.17	11
2.146	42.10	11

Entry 4:
Computed powder XRD pattern
Compound: La5Dy3Cu4O16
Radiation: copper Kα
Structure: DFT lattice parameters and positions (GGA-PBE)
Intensities are scaled so that the largest is 100.

Atomic structure:
```
La5Dy3Cu4O16
1.0
3.873 0.000 0.000
0.000 3.873 0.000
0.000 0.000 24.997
La Dy Cu O
5 3 4 16
direct
0.000 0.000 0.000
0.000 0.000 0.148
0.000 0.000 0.642
0.500 0.500 0.264
0.500 0.500 0.758
0.000 0.000 0.499
0.500 0.500 0.407
0.500 0.500 0.901
0.000 0.000 0.335
0.000 0.000 0.829
0.500 0.500 0.079
0.500 0.500 0.571
0.000 0.000 0.240
0.000 0.000 0.734
0.000 0.500 0.078
0.000 0.500 0.335
0.000 0.500 0.453
0.000 0.500 0.571
0.000 0.500 0.829
0.000 0.500 0.947
0.500 0.000 0.078
0.500 0.000 0.335
0.500 0.000 0.453
0.500 0.000 0.571
0.500 0.000 0.829
0.500 0.000 0.947
0.500 0.500 0.172
0.500 0.500 0.666
```

Largest 10 diffraction maxima, by intensity, 2θ = 10–90°:
d/Å	2theta	intensity
2.836	31.54	100
2.738	32.70	50
1.599	57.64	36
1.936	46.92	30
3.699	24.06	21
2.059	43.97	21
1.658	55.42	12
1.369	68.54	9
1.418	65.86	9
1.225	78.03	8